1.
The following is a computed PXRD pattern of Ca2La3Si3O13. It was derived from DFT lattice parameters and positions (GGA-PBE), using Cu Kα, 1.54184 Å.
Neutral-atom scattering factors, no anomalous dispersion.

Principal peaks in the range 2θ = 10–80°, by angle:
10.49 deg, d 8.433, I 17
22.12 deg, d 4.019, I 29
25.02 deg, d 3.559, I 31
27.19 deg, d 3.279, I 15
27.99 deg, d 3.187, I 17
30.74 deg, d 2.909, I 100
31.13 deg, d 2.873, I 19
31.84 deg, d 2.811, I 15
42.38 deg, d 2.133, I 13
47.79 deg, d 1.903, I 34
48.78 deg, d 1.867, I 22
50.30 deg, d 1.814, I 22

Crystal structure
```
Ca2La3Si3O13
1.0
9.737 0.000 0.000
-4.869 8.433 0.000
0.000 0.000 7.119
Ca La Si O
4 6 6 26
direct
0.333 0.667 0.004
0.333 0.667 0.496
0.667 0.333 0.504
0.667 0.333 0.996
0.010 0.761 0.250
0.239 0.250 0.250
0.250 0.010 0.750
0.750 0.990 0.250
0.761 0.750 0.750
0.990 0.239 0.750
0.028 0.626 0.750
0.374 0.402 0.750
0.402 0.028 0.250
0.598 0.972 0.750
0.626 0.598 0.250
0.972 0.374 0.250
0.000 0.000 0.250
0.000 0.000 0.750
0.086 0.749 0.568
0.086 0.749 0.932
0.128 0.532 0.750
0.164 0.490 0.250
0.251 0.338 0.568
0.251 0.338 0.932
0.326 0.836 0.250
0.338 0.086 0.068
0.338 0.086 0.432
0.404 0.872 0.750
0.468 0.596 0.750
0.490 0.326 0.750
0.510 0.674 0.250
0.532 0.404 0.250
0.596 0.128 0.250
0.662 0.914 0.568
0.662 0.914 0.932
0.674 0.164 0.750
0.749 0.662 0.068
0.749 0.662 0.432
0.836 0.510 0.750
0.872 0.468 0.250
0.914 0.251 0.068
0.914 0.251 0.432
```

***

2.
The following is a computed PXRD pattern of W4C3. It was derived from DFT lattice parameters and positions (GGA-PBE), using Cu Kα, 1.54184 Å.
Neutral-atom scattering factors, no anomalous dispersion.

Principal peaks in the range 2θ = 10–80°, by angle:
35.97 deg, d 2.497, I 100
41.77 deg, d 2.162, I 59
60.56 deg, d 1.529, I 39
72.49 deg, d 1.304, I 41
76.27 deg, d 1.248, I 13

Crystal structure
```
W4C3
1.0
4.325 0.000 0.000
0.000 4.325 0.000
0.000 0.000 4.325
W C
4 3
direct
0.000 0.000 0.000
0.000 0.500 0.500
0.500 0.000 0.500
0.500 0.500 0.000
0.000 0.000 0.500
0.000 0.500 0.000
0.500 0.000 0.000
```

***

3.
The following is a computed PXRD pattern of CsLiGeSe3. It was derived from DFT lattice parameters and positions (GGA-PBE), using Cu Kα, 1.54184 Å.
Neutral-atom scattering factors, no anomalous dispersion.

Principal peaks in the range 2θ = 10–80°, by angle:
17.05 deg, d 5.200, I 36
18.98 deg, d 4.676, I 23
20.12 deg, d 4.413, I 42
25.21 deg, d 3.533, I 49
25.45 deg, d 3.500, I 100
28.73 deg, d 3.107, I 55
32.02 deg, d 2.795, I 25
32.92 deg, d 2.721, I 42
42.39 deg, d 2.132, I 17
50.26 deg, d 1.815, I 22
52.23 deg, d 1.752, I 18
54.52 deg, d 1.683, I 25

Crystal structure
```
CsLiGeSe3
1.0
4.932 -5.200 0.000
4.932 5.200 0.000
-1.967 0.000 8.825
Cs Li Ge Se
2 2 2 6
direct
0.214 0.214 0.161
0.786 0.786 0.839
0.293 0.707 0.500
0.707 0.293 0.500
0.183 0.183 0.692
0.817 0.817 0.308
0.096 0.724 0.239
0.276 0.904 0.761
0.369 0.369 0.578
0.631 0.631 0.422
0.724 0.096 0.239
0.904 0.276 0.761
```

***

4.
The following is a computed PXRD pattern of Yb2TiCuO6. It was derived from DFT lattice parameters and positions (GGA-PBE), using Cu Kα, 1.54184 Å.
Neutral-atom scattering factors, no anomalous dispersion.

Principal peaks in the range 2θ = 10–80°, by angle:
15.29 deg, d 5.794, I 38
28.93 deg, d 3.087, I 47
29.96 deg, d 2.983, I 20
30.87 deg, d 2.897, I 29
32.88 deg, d 2.724, I 100
42.81 deg, d 2.112, I 38
49.16 deg, d 1.853, I 11
51.26 deg, d 1.782, I 35
53.82 deg, d 1.703, I 10
56.18 deg, d 1.637, I 20
61.05 deg, d 1.518, I 25
62.25 deg, d 1.491, I 17

Crystal structure
```
Yb2TiCuO6
1.0
3.564 0.000 0.000
-1.782 3.087 0.000
0.000 0.000 11.588
Yb Ti Cu O
2 1 1 6
direct
0.000 0.000 0.233
0.000 0.000 0.767
0.333 0.667 0.500
0.667 0.333 0.000
0.000 0.000 0.000
0.000 0.000 0.500
0.333 0.667 0.339
0.333 0.667 0.661
0.667 0.333 0.159
0.667 0.333 0.841
```

***

5.
The following is a computed PXRD pattern of Dy3Tm2Tl2. It was derived from DFT lattice parameters and positions (GGA-PBE), using Cu Kα, 1.54184 Å.
Neutral-atom scattering factors, no anomalous dispersion.

Principal peaks in the range 2θ = 10–80°, by angle:
20.47 deg, d 4.339, I 3
32.50 deg, d 2.755, I 99
33.33 deg, d 2.688, I 100
47.24 deg, d 1.924, I 35
48.14 deg, d 1.890, I 4
57.44 deg, d 1.604, I 16
59.04 deg, d 1.565, I 37
59.57 deg, d 1.552, I 19
68.06 deg, d 1.378, I 10
70.00 deg, d 1.344, I 12
77.93 deg, d 1.226, I 14
79.31 deg, d 1.208, I 16

Crystal structure
```
Dy3Tm2Tl2
1.0
2.688 1.552 7.975
-2.688 1.552 7.975
0.000 -3.104 7.975
Dy Tm Tl
3 2 2
direct
0.000 0.000 0.000
0.155 0.155 0.155
0.845 0.845 0.845
0.426 0.426 0.426
0.574 0.574 0.574
0.284 0.284 0.284
0.716 0.716 0.716
```

***

6.
The following is a computed PXRD pattern of LiAgGeRh. It was derived from DFT lattice parameters and positions (GGA-PBE), using Cu Kα, 1.54184 Å.
Neutral-atom scattering factors, no anomalous dispersion.

Principal peaks in the range 2θ = 10–80°, by angle:
25.17 deg, d 3.538, I 14
29.15 deg, d 3.064, I 29
41.69 deg, d 2.166, I 100
49.33 deg, d 1.848, I 7
51.68 deg, d 1.769, I 7
60.43 deg, d 1.532, I 16
66.52 deg, d 1.406, I 3
68.48 deg, d 1.370, I 9
76.10 deg, d 1.251, I 32

Crystal structure
```
LiAgGeRh
1.0
0.000 3.064 3.064
3.064 0.000 3.064
3.064 3.064 0.000
Li Ag Ge Rh
1 1 1 1
direct
0.000 0.000 0.000
0.750 0.750 0.750
0.500 0.500 0.500
0.250 0.250 0.250
```

***

7.
The following is a computed PXRD pattern of K4Tc. It was derived from DFT lattice parameters and positions (GGA-PBE), using Cu Kα, 1.54184 Å.
Neutral-atom scattering factors, no anomalous dispersion.

Principal peaks in the range 2θ = 10–80°, by angle:
11.03 deg, d 8.024, I 65
15.62 deg, d 5.674, I 16
24.81 deg, d 3.589, I 49
28.59 deg, d 3.122, I 100
31.53 deg, d 2.837, I 16
35.37 deg, d 2.538, I 22
36.46 deg, d 2.464, I 27
46.09 deg, d 1.969, I 18
46.67 deg, d 1.946, I 10
52.80 deg, d 1.734, I 11
54.36 deg, d 1.688, I 14
56.92 deg, d 1.618, I 10

Crystal structure
```
K4Tc
1.0
-5.674 5.674 1.980
5.674 -5.674 1.980
5.674 5.674 -1.980
K Tc
4 1
direct
0.069 0.748 0.817
0.252 0.069 0.320
0.748 0.931 0.680
0.931 0.252 0.183
0.500 0.500 0.000
```

***

8.
The following is a computed PXRD pattern of Dy5ThSc. It was derived from DFT lattice parameters and positions (GGA-PBE), using Cu Kα, 1.54184 Å.
Neutral-atom scattering factors, no anomalous dispersion.

Principal peaks in the range 2θ = 10–80°, by angle:
25.28 deg, d 3.523, I 35
30.03 deg, d 2.976, I 100
31.25 deg, d 2.862, I 13
32.43 deg, d 2.761, I 36
32.92 deg, d 2.720, I 65
33.92 deg, d 2.643, I 29
35.08 deg, d 2.558, I 81
36.78 deg, d 2.444, I 31
50.82 deg, d 1.797, I 18
51.64 deg, d 1.770, I 15
52.63 deg, d 1.739, I 24
62.32 deg, d 1.490, I 13

Crystal structure
```
Dy5ThSc
1.0
5.997 0.000 0.000
0.000 3.540 0.000
-1.480 0.000 10.570
Dy Th Sc
5 1 1
direct
0.000 0.000 0.000
0.093 0.500 0.749
0.429 0.000 0.304
0.571 0.000 0.696
0.907 0.500 0.251
0.500 0.500 0.000
0.000 0.000 0.500
```